For Mg3Zr, the GGA-PBE geometry in the Materials Project gives the theoretical powder diffraction line list in this record (a wavelength of 1.5418 Å).

```
data_Mg3Zr
_chemical_formula_sum 'Mg6 Zr2'
_symmetry_space_group_name_H-M 'P 63/m m c'
_symmetry_Int_Tables_number 194
_symmetry_space_group_name_Hall '-P 6c 2c'
_cell_length_a 6.3518
_cell_length_b 6.3518
_cell_length_c 5.0369
_cell_angle_alpha 90.00
_cell_angle_beta 90.00
_cell_angle_gamma 120.00
loop_
_atom_site_label
_atom_site_fract_x
_atom_site_fract_y
_atom_site_fract_z
Mg1 0.1671 0.3342 0.2500
Zr1 0.3333 0.6667 0.7500
```

Main lines, low angle first (2θ = 10–80°):
2θ 16.11, intensity 22, hkl 1 0 0
2θ 23.95, intensity 50, hkl 1 0 1
2θ 28.10, intensity 22, hkl 1 1 0
2θ 32.56, intensity 24, hkl 2 0 0
2θ 35.65, intensity 25, hkl 0 0 2
2θ 37.25, intensity 100, hkl 2 0 1